Structure and simulated X-ray diffraction stick pattern of NiO2 (the GGA+U geometry in the Materials Project; Cu Kα (λ = 1.5418 Å)).

Most intense lines, 2θ from 5° to 70°, by angle:
| Position (°2θ) | intensity | hkl |
| --- | --- | --- |
| 12.69 | 100 | 0 0 3 |
| 25.54 | 9 | 0 0 6 |
| 37.27 | 5 | 1 0 1 |
| 38.04 | 11 | 0 1 2 |
| 43.06 | 14 | 0 1 5 |
| 51.34 | 9 | 0 1 8 |
| 58.20 | 3 | 1 0 10 |
| 61.97 | 3 | 0 1 11 |
| 66.71 | 4 | 1 1 0 |
| 68.23 | 5 | 1 1 3 |

Structural model:
Cell lengths 2.8043, 2.8043, 20.9229 Å; angles 90.00, 90.00, 120.00 degrees
Space group R-3m (No. 166, hexagonal axes)
Asymmetric unit:
Ni: 0.0000 0.0000 0.0000 x3
O: 0.0000 0.0000 0.3788 x6